Structure and simulated powder X-ray diffraction pattern of Zn4FeCu3 (a structure optimized by DFT (PBE); Cu Kα (λ = 1.5418 Å)).

a = 2.6532 Å, b = 2.6532 Å, c = 14.7108 Å
α = 90.00°, β = 90.00°, γ = 90.00°
Element x y z (fractional)
Zn  0.0000  0.0000  0.1247
Zn  0.0000  0.0000  0.3751
Zn  0.0000  0.0000  0.6249
Zn  0.0000  0.0000  0.8753
Fe  0.5000  0.5000  0.0000
Cu  0.5000  0.5000  0.2503
Cu  0.5000  0.5000  0.5000
Cu  0.5000  0.5000  0.7497

Top 6 peaks for 2θ from 15° to 90°, by intensity:
two_theta, I (rel.), h k l
41.99, 1000, 1 0 4
48.53, 322, 1 1 0
86.11, 218, 2 1 4
71.90, 181, 1 1 8
49.57, 150, 0 0 8
87.70, 105, 1 0 12